# InI
Calculated powder diffractogram, copper Kα. Input: a GGA-PBE-relaxed structure.
Peak positions follow from Bragg's law for the DFT cell and can differ from measured ones.

Cell and atoms:
```
InI
1.0
4.877 0.000 0.000
0.000 16.360 0.000
0.000 0.000 6.772
In I
6 6
Cartesian
1.219 2.023 0.015 In
1.219 6.157 0.015 In
1.219 12.270 5.194 In
3.658 4.090 1.578 In
3.658 10.203 6.757 In
3.658 14.337 6.757 In
1.219 4.090 3.615 I
1.219 8.797 5.029 I
1.219 15.744 5.029 I
3.658 0.616 1.743 I
3.658 7.564 1.743 I
3.658 12.270 3.157 I
```

Top 10 peaks for 2θ from 5° to 70°, low angle first:
- 6.257 Å, intensity 42.2, hkl 0 1 1
- 3.958 Å, intensity 97.3, hkl 1 0 1
- 3.501 Å, intensity 57.8, hkl 0 4 1
- 3.203 Å, intensity 72.8, hkl 1 3 1
- 2.844 Å, intensity 46.4, hkl 1 4 1
- 2.742 Å, intensity 100.0, hkl 1 1 2
- 2.717 Å, intensity 35.0, hkl 1 5 0
- 2.608 Å, intensity 30.9, hkl 0 4 2
- 2.522 Å, intensity 31.0, hkl 1 5 1
- 2.439 Å, intensity 46.6, hkl 2 0 0